Starting from DFT lattice parameters and positions (PBE), the powder diffraction line list of Ag4AuSe2 was calculated for Cu Kα X-rays.
Kinematic intensities with the Lorentz-polarization factor, no thermal factor.

Crystal structure
abc: 6.862 7.214 7.429
angles: 111.83 110.01 104.22
Element x y z (fractional)
Ag 0.000 0.000 0.000
Ag 0.037 0.310 0.409
Ag 0.192 0.150 0.740
Ag 0.319 0.777 0.994
Ag 0.381 0.782 0.607
Ag 0.497 0.268 0.326
Ag 0.641 0.541 0.127
Ag 0.867 0.368 0.736
Au 0.215 0.453 0.142
Au 0.940 0.679 0.593
Se 0.078 0.768 0.226
Se 0.471 0.447 0.694
Se 0.644 0.120 0.040
Se 0.720 0.910 0.508

Largest 8 diffraction maxima, in order of falling intensity, 2θ from 10° to 90°:
| two_theta | I (rel.) |
| --- | --- |
| 39.42 | 100 |
| 40.58 | 57 |
| 34.90 | 53 |
| 33.39 | 45 |
| 35.61 | 40 |
| 15.20 | 37 |
| 40.33 | 37 |
| 36.29 | 37 |


Starting from DFT lattice parameters and positions (PBE), the powder diffraction line list of Ag8AuSe6 was calculated for Cu Kα X-rays.
Kinematic intensities with the Lorentz-polarization factor, no thermal factor.

Crystal structure
abc: 8.299 8.299 8.299
angles: 53.12 53.12 53.12
Element x y z (fractional)
Ag 0.091 0.091 0.091
Ag 0.130 0.621 0.321
Ag 0.321 0.130 0.621
Ag 0.379 0.679 0.870
Ag 0.621 0.321 0.130
Ag 0.679 0.870 0.379
Ag 0.870 0.379 0.679
Ag 0.909 0.909 0.909
Au 0.500 0.500 0.500
Se 0.102 0.458 0.743
Se 0.257 0.898 0.542
Se 0.458 0.743 0.102
Se 0.542 0.257 0.898
Se 0.743 0.102 0.458
Se 0.898 0.542 0.257

Largest 8 diffraction maxima, in order of falling intensity, 2θ from 10° to 90°:
| two_theta | I (rel.) |
| --- | --- |
| 34.96 | 100 |
| 27.11 | 51 |
| 42.18 | 49 |
| 37.99 | 44 |
| 16.10 | 41 |
| 45.42 | 39 |
| 37.25 | 33 |
| 32.53 | 33 |


Starting from DFT lattice parameters and positions (PBE), the powder diffraction line list of Ag5AuSe3 was calculated for Cu Kα X-rays.
Kinematic intensities with the Lorentz-polarization factor, no thermal factor.

Crystal structure
abc: 6.192 7.965 9.327
angles: 108.30 94.74 109.79
Element x y z (fractional)
Ag 0.047 0.114 0.397
Ag 0.067 0.153 0.938
Ag 0.241 0.465 0.253
Ag 0.393 0.820 0.534
Ag 0.396 0.799 0.011
Ag 0.604 0.201 0.989
Ag 0.607 0.180 0.466
Ag 0.759 0.535 0.747
Ag 0.933 0.847 0.062
Ag 0.953 0.886 0.603
Au 0.106 0.358 0.712
Au 0.894 0.642 0.288
Se 0.000 0.500 0.000
Se 0.000 0.500 0.500
Se 0.347 0.156 0.199
Se 0.385 0.181 0.709
Se 0.615 0.819 0.291
Se 0.653 0.844 0.801

Largest 8 diffraction maxima, in order of falling intensity, 2θ from 10° to 90°:
| two_theta | I (rel.) |
| --- | --- |
| 39.84 | 100 |
| 41.08 | 88 |
| 38.82 | 73 |
| 28.94 | 71 |
| 37.90 | 69 |
| 23.68 | 57 |
| 36.57 | 53 |
| 26.32 | 43 |